1.
Y12CoAu6: computed powder diffractogram (CuKα), based on the GGA-PBE geometry in Alexandria.
Neutral-atom scattering factors, no anomalous dispersion.

Unit cell a=12.5364 b=12.5364 c=12.1355 alpha=90.00 beta=90.00 gamma=120.00
Space group R-3 (No. 148, hexagonal axes)
Unique sites:
Y1 0.0304 0.8205 0.3956 [18 per cell]
Y2 0.0524 0.8571 0.8826 [18 per cell]
Co1 0.0000 0.0000 0.0000 [3 per cell]
Au1 0.0487 0.7738 0.6445 [18 per cell]

Largest 10 diffraction maxima, in order of falling intensity, 2θ = 10–90°:
two_theta, d (Å), Rel. int.
22.88, 3.887, 100
36.84, 2.440, 67
37.98, 2.369, 58
30.59, 2.922, 46
33.22, 2.697, 46
21.97, 4.045, 30
39.09, 2.304, 25
69.36, 1.355, 24
44.80, 2.023, 23
14.13, 6.268, 19

=====

2.
Y4CoAu: computed powder diffractogram (CuKα), based on the GGA-PBE geometry in Alexandria.
Neutral-atom scattering factors, no anomalous dispersion.

Unit cell a=8.843 b=13.334 c=6.139 alpha=90.00 beta=120.74 gamma=90.00
Space group C2/c (No. 15)
Unique sites:
Y1 0.118 0.178 0.090 [8 per cell]
Y2 0.218 0.437 0.302 [8 per cell]
Co1 0.000 0.000 0.250 [4 per cell]
Au1 0.000 0.368 0.750 [4 per cell]

Largest 10 diffraction maxima, in order of falling intensity, 2θ = 10–90°:
two_theta, d (Å), Rel. int.
31.09, 2.876, 100
38.03, 2.366, 89
16.19, 5.475, 67
34.01, 2.636, 66
31.75, 2.818, 63
30.39, 2.941, 59
35.99, 2.495, 56
40.03, 2.252, 49
41.00, 2.201, 47
35.68, 2.516, 43

=====

What did the first record say?
Y12CoAu6: computed powder diffractogram (CuKα), based on the GGA-PBE geometry in Alexandria.
Neutral-atom scattering factors, no anomalous dispersion.

Unit cell a=12.5364 b=12.5364 c=12.1355 alpha=90.00 beta=90.00 gamma=120.00
Space group R-3 (No. 148, hexagonal axes)
Unique sites:
Y1 0.0304 0.8205 0.3956 [18 per cell]
Y2 0.0524 0.8571 0.8826 [18 per cell]
Co1 0.0000 0.0000 0.0000 [3 per cell]
Au1 0.0487 0.7738 0.6445 [18 per cell]

Largest 10 diffraction maxima, in order of falling intensity, 2θ = 10–90°:
two_theta, d (Å), Rel. int.
22.88, 3.887, 100
36.84, 2.440, 67
37.98, 2.369, 58
30.59, 2.922, 46
33.22, 2.697, 46
21.97, 4.045, 30
39.09, 2.304, 25
69.36, 1.355, 24
44.80, 2.023, 23
14.13, 6.268, 19